Record 1
Structure and theoretical X-ray diffraction stick pattern of PrZr6Sc12 (a cell relaxed with PBE; Cu Kα (weighted mean of Kα1 and Kα2)).

Atomic structure:
a b c (Å): 12.5985 12.5985 10.7891
angles (deg): 90.00 90.00 120.00
Space group R-3m (No. 166, hexagonal axes)
Inequivalent atoms, fractional coordinates:
Pr  0.0000  0.0000  0.0000 x3
Zr  0.0025  0.5012  0.2660 x18
Sc  0.0000  0.3856  0.5000 x18
Sc  0.0946  0.1892  0.3503 x18

The 12 most intense peaks (2θ = 10–80°), in order of falling intensity:
2theta	I/Imax	(hkl)
30.69	100	1 3 1
37.19	95	0 2 4
28.34	92	2 2 0
33.97	62	3 1 2
36.93	61	0 4 2
47.18	46	4 2 2
27.22	40	1 2 2
44.80	38	5 0 2
28.58	38	1 1 3
23.14	38	2 0 2
39.70	35	2 3 2
18.35	34	0 1 2

---

Record 2
Structure and theoretical X-ray diffraction stick pattern of Dy2ErTc9 (a cell relaxed with PBE; Cu Kα (weighted mean of Kα1 and Kα2)).

Atomic structure:
a b c (Å): 5.3375 5.3375 26.2455
angles (deg): 90.00 90.00 120.00
Space group R-3m (No. 166, hexagonal axes)
Inequivalent atoms, fractional coordinates:
Dy  0.0000  0.0000  0.1437 x6
Er  0.0000  0.0000  0.0000 x3
Tc  0.0000  0.0000  0.3376 x6
Tc  0.0000  0.0000  0.5000 x3
Tc  0.0095  0.5047  0.9168 x18

The 12 most intense peaks (2θ = 10–80°), in order of falling intensity:
2theta	I/Imax	(hkl)
39.55	100	1 1 6
33.54	60	1 1 0
39.13	30	0 2 1
64.07	23	3 0 6
30.70	23	1 0 7
70.58	21	2 2 0
41.28	19	0 0 12
42.75	18	2 0 5
60.01	14	3 0 0
63.95	13	2 0 14
41.42	10	0 2 4
39.59	10	2 0 2